No. 1
Computed powder XRD pattern of ErNbTcRh for CuKα, from a PBE-relaxed structure.
Neutral-atom scattering factors, no anomalous dispersion.

Main lines, most intense first (5° ≤ 2θ ≤ 70°):
38.84°, I = 100
56.10°, I = 17
23.50°, I = 5
45.90°, I = 3
27.20°, I = 2
61.65°, I = 1
63.43°, I = 1
48.06°, I = 1

Structural model:
abc: 6.558 6.558 6.558
angles: 90.00 90.00 90.00
Sites, in units of the cell vectors:
1 Er 0.000 0.000 0.000
2 Er 0.000 0.500 0.500
3 Er 0.500 0.000 0.500
4 Er 0.500 0.500 0.000
5 Nb 0.000 0.000 0.500
6 Nb 0.000 0.500 0.000
7 Nb 0.500 0.000 0.000
8 Nb 0.500 0.500 0.500
9 Tc 0.250 0.250 0.250
10 Tc 0.250 0.750 0.750
11 Tc 0.750 0.250 0.750
12 Tc 0.750 0.750 0.250
13 Rh 0.250 0.250 0.750
14 Rh 0.250 0.750 0.250
15 Rh 0.750 0.250 0.250
16 Rh 0.750 0.750 0.750

No. 2
Computed powder XRD pattern of ErNb4Ru5 for CuKα, from a PBE-relaxed structure.
Neutral-atom scattering factors, no anomalous dispersion.

Main lines, most intense first (5° ≤ 2θ ≤ 70°):
39.06°, I = 100
40.70°, I = 48
58.92°, I = 16
69.66°, I = 14
53.88°, I = 8
35.57°, I = 4
5.19°, I = 3
32.64°, I = 2
30.39°, I = 2
67.52°, I = 2

Structural model:
abc: 3.135 3.135 17.016
angles: 90.00 90.00 90.00
Sites, in units of the cell vectors:
1 Er 0.000 0.000 0.000
2 Nb 0.000 0.000 0.206
3 Nb 0.000 0.000 0.402
4 Nb 0.000 0.000 0.598
5 Nb 0.000 0.000 0.794
6 Ru 0.500 0.500 0.118
7 Ru 0.500 0.500 0.307
8 Ru 0.500 0.500 0.500
9 Ru 0.500 0.500 0.693
10 Ru 0.500 0.500 0.882

No. 3
Computed powder XRD pattern of ErNbSi2Ru for CuKα, from a PBE-relaxed structure.
Neutral-atom scattering factors, no anomalous dispersion.

Main lines, most intense first (5° ≤ 2θ ≤ 70°):
35.62°, I = 100
45.15°, I = 32
33.19°, I = 31
23.60°, I = 28
32.75°, I = 22
56.89°, I = 18
60.33°, I = 17
47.32°, I = 15
57.17°, I = 13
67.47°, I = 11

Structural model:
abc: 4.016 4.016 10.938
angles: 90.00 90.00 90.00
Sites, in units of the cell vectors:
1 Er 0.000 0.000 0.000
2 Er 0.500 0.500 0.500
3 Nb 0.000 0.500 0.250
4 Nb 0.500 0.000 0.750
5 Si 0.000 0.000 0.392
6 Si 0.000 0.000 0.608
7 Si 0.500 0.500 0.108
8 Si 0.500 0.500 0.892
9 Ru 0.000 0.500 0.750
10 Ru 0.500 0.000 0.250

No. 4
Computed powder XRD pattern of ErScNb for CuKα, from a PBE-relaxed structure.
Neutral-atom scattering factors, no anomalous dispersion.

Main lines, most intense first (5° ≤ 2θ ≤ 70°):
34.07°, I = 100
36.77°, I = 54
53.03°, I = 34
64.51°, I = 31
29.72°, I = 30
14.55°, I = 21
26.81°, I = 19
36.90°, I = 11
67.19°, I = 9
52.26°, I = 8

Structural model:
abc: 3.456 3.456 12.179
angles: 90.00 90.00 90.00
Sites, in units of the cell vectors:
1 Er 0.250 0.250 0.100
2 Er 0.750 0.750 0.900
3 Sc 0.250 0.250 0.701
4 Sc 0.750 0.750 0.299
5 Nb 0.250 0.250 0.446
6 Nb 0.750 0.750 0.554

No. 5
Computed powder XRD pattern of ErNbSe for CuKα, from a PBE-relaxed structure.
Neutral-atom scattering factors, no anomalous dispersion.

Main lines, most intense first (5° ≤ 2θ ≤ 70°):
39.88°, I = 100
33.72°, I = 95
45.05°, I = 67
36.20°, I = 44
59.11°, I = 42
28.55°, I = 40
31.43°, I = 35
37.57°, I = 34
65.61°, I = 22
60.06°, I = 17

Structural model:
abc: 4.025 4.025 14.888
angles: 90.00 90.00 90.00
Sites, in units of the cell vectors:
1 Er 0.000 0.000 0.169
2 Er 0.000 0.000 0.831
3 Er 0.500 0.500 0.331
4 Er 0.500 0.500 0.669
5 Nb 0.000 0.500 0.000
6 Nb 0.000 0.500 0.500
7 Nb 0.500 0.000 0.000
8 Nb 0.500 0.000 0.500
9 Se 0.000 0.000 0.366
10 Se 0.000 0.000 0.634
11 Se 0.500 0.500 0.134
12 Se 0.500 0.500 0.866

No. 6
Computed powder XRD pattern of SmErNb for CuKα, from a PBE-relaxed structure.
Neutral-atom scattering factors, no anomalous dispersion.

Main lines, most intense first (5° ≤ 2θ ≤ 70°):
36.66°, I = 100
32.23°, I = 85
34.63°, I = 82
27.57°, I = 44
28.63°, I = 41
32.76°, I = 41
52.26°, I = 34
64.18°, I = 27
63.32°, I = 24
57.65°, I = 20

Structural model:
abc: 3.461 27.335 3.504
angles: 90.00 90.00 90.00
Sites, in units of the cell vectors:
1 Sm 0.000 0.148 0.250
2 Sm 0.000 0.852 0.750
3 Sm 0.500 0.352 0.750
4 Sm 0.500 0.648 0.250
5 Er 0.000 0.446 0.250
6 Er 0.000 0.554 0.750
7 Er 0.500 0.054 0.750
8 Er 0.500 0.946 0.250
9 Nb 0.000 0.274 0.250
10 Nb 0.000 0.726 0.750
11 Nb 0.500 0.226 0.750
12 Nb 0.500 0.774 0.250

No. 7
Computed powder XRD pattern of ErNb2V for CuKα, from a PBE-relaxed structure.
Neutral-atom scattering factors, no anomalous dispersion.

Main lines, most intense first (5° ≤ 2θ ≤ 70°):
34.16°, I = 100
33.74°, I = 100
45.85°, I = 95
27.18°, I = 60
41.78°, I = 59
60.08°, I = 42
48.09°, I = 36
67.15°, I = 28
36.52°, I = 27
8.99°, I = 22

Structural model:
abc: 3.080 3.080 29.524
angles: 90.00 90.00 120.00
Sites, in units of the cell vectors:
1 Er 0.000 0.000 0.000
2 Er 0.333 0.667 0.667
3 Er 0.667 0.333 0.333
4 Nb 0.000 0.000 0.100
5 Nb 0.000 0.000 0.900
6 Nb 0.333 0.667 0.566
7 Nb 0.333 0.667 0.767
8 Nb 0.667 0.333 0.233
9 Nb 0.667 0.333 0.434
10 V 0.000 0.000 0.500
11 V 0.333 0.667 0.167
12 V 0.667 0.333 0.833

No. 8
Computed powder XRD pattern of Nd13Er3 for CuKα, from a PBE-relaxed structure.
Neutral-atom scattering factors, no anomalous dispersion.

Main lines, most intense first (5° ≤ 2θ ≤ 70°):
31.89°, I = 100
30.34°, I = 25
27.95°, I = 24
59.14°, I = 23
54.89°, I = 21
49.46°, I = 20
60.06°, I = 16
41.72°, I = 16
66.65°, I = 4
63.12°, I = 3

Structural model:
abc: 7.373 8.686 8.686
angles: 85.43 90.00 90.00
Sites, in units of the cell vectors:
1 Nd 0.000 0.000 0.000
2 Nd 0.000 0.423 0.915
3 Nd 0.000 0.502 0.502
4 Nd 0.000 0.915 0.423
5 Nd 0.250 0.250 0.250
6 Nd 0.252 0.165 0.672
7 Nd 0.252 0.672 0.165
8 Nd 0.500 0.420 0.916
9 Nd 0.500 0.503 0.503
10 Nd 0.500 0.916 0.420
11 Nd 0.748 0.165 0.672
12 Nd 0.748 0.672 0.165
13 Nd 0.750 0.250 0.250
14 Er 0.251 0.753 0.753
15 Er 0.500 0.999 0.999
16 Er 0.749 0.753 0.753

No. 9
Computed powder XRD pattern of Nd5Er3 for CuKα, from a PBE-relaxed structure.
Neutral-atom scattering factors, no anomalous dispersion.

Main lines, most intense first (5° ≤ 2θ ≤ 70°):
30.30°, I = 100
50.52°, I = 36
35.10°, I = 34
60.01°, I = 29
35.19°, I = 17
60.14°, I = 14
63.02°, I = 12

Structural model:
abc: 10.201 7.232 7.232
angles: 90.06 90.00 90.00
Sites, in units of the cell vectors:
1 Nd 0.000 0.000 0.000
2 Nd 0.000 0.000 0.495
3 Nd 0.000 0.495 0.000
4 Nd 0.252 0.747 0.747
5 Nd 0.253 0.248 0.747
6 Nd 0.253 0.747 0.248
7 Nd 0.500 0.496 0.496
8 Nd 0.747 0.248 0.747
9 Nd 0.747 0.747 0.248
10 Nd 0.748 0.747 0.747
11 Er 0.000 0.495 0.495
12 Er 0.253 0.248 0.248
13 Er 0.500 0.000 0.000
14 Er 0.500 0.000 0.495
15 Er 0.500 0.495 0.000
16 Er 0.747 0.248 0.248

No. 10
Computed powder XRD pattern of Nd4Er3 for CuKα, from a PBE-relaxed structure.
Neutral-atom scattering factors, no anomalous dispersion.

Main lines, most intense first (5° ≤ 2θ ≤ 70°):
30.31°, I = 100
30.41°, I = 99
35.15°, I = 68
60.18°, I = 57
50.53°, I = 36
50.73°, I = 36
35.30°, I = 33
59.96°, I = 14
60.42°, I = 14
63.04°, I = 12

Structural model:
abc: 11.358 5.100 8.093
angles: 90.00 98.14 90.00
Sites, in units of the cell vectors:
1 Nd 0.142 0.000 0.426
2 Nd 0.214 0.500 0.141
3 Nd 0.286 0.000 0.859
4 Nd 0.358 0.500 0.574
5 Nd 0.642 0.500 0.426
6 Nd 0.714 0.000 0.141
7 Nd 0.786 0.500 0.859
8 Nd 0.858 0.000 0.574
9 Er 0.000 0.000 0.000
10 Er 0.071 0.500 0.714
11 Er 0.429 0.000 0.286
12 Er 0.500 0.500 0.000
13 Er 0.571 0.000 0.714
14 Er 0.929 0.500 0.286

No. 11
Computed powder XRD pattern of Nd4Er for CuKα, from a PBE-relaxed structure.
Neutral-atom scattering factors, no anomalous dispersion.

Main lines, most intense first (5° ≤ 2θ ≤ 70°):
30.00°, I = 100
50.01°, I = 36
34.74°, I = 34
59.37°, I = 29
34.86°, I = 17
59.52°, I = 14
62.35°, I = 12
6.87°, I = 1

Structural model:
abc: 3.652 3.652 25.739
angles: 90.00 90.00 90.00
Sites, in units of the cell vectors:
1 Nd 0.000 0.000 0.097
2 Nd 0.000 0.000 0.301
3 Nd 0.000 0.000 0.699
4 Nd 0.000 0.000 0.903
5 Nd 0.500 0.500 0.199
6 Nd 0.500 0.500 0.403
7 Nd 0.500 0.500 0.597
8 Nd 0.500 0.500 0.801
9 Er 0.000 0.000 0.500
10 Er 0.500 0.500 0.000

No. 12
Computed powder XRD pattern of Nd2Er13 for CuKα, from a PBE-relaxed structure.
Neutral-atom scattering factors, no anomalous dispersion.

Main lines, most intense first (5° ≤ 2θ ≤ 70°):
32.21°, I = 100
32.36°, I = 26
30.45°, I = 20
57.62°, I = 19
62.61°, I = 19
45.02°, I = 14
47.33°, I = 11
58.51°, I = 8
37.72°, I = 8
52.09°, I = 7

Structural model:
abc: 6.555 8.672 8.939
angles: 69.11 84.17 80.76
Sites, in units of the cell vectors:
1 Nd 0.199 0.306 0.396
2 Nd 0.801 0.694 0.604
3 Er 0.000 0.500 0.000
4 Er 0.096 0.925 0.693
5 Er 0.136 0.698 0.264
6 Er 0.238 0.075 0.976
7 Er 0.335 0.498 0.669
8 Er 0.430 0.922 0.359
9 Er 0.466 0.697 0.935
10 Er 0.534 0.303 0.065
11 Er 0.570 0.078 0.641
12 Er 0.665 0.502 0.331
13 Er 0.762 0.925 0.024
14 Er 0.864 0.302 0.736
15 Er 0.904 0.075 0.307